Record 1
For InOs4Se, a DFT-relaxed cell (PBE, Alexandria) gives the calculated powder X-ray diffraction pattern in this record (CuKα).
Peak positions follow from Bragg's law for the DFT cell and can differ from measured ones.

Largest 8 diffraction maxima, in order of rising 2θ, 2θ = 15–90°:
d (Å), I (rel.)
4.293, 37.3
2.242, 100.0
2.147, 62.5
1.859, 16.7
1.431, 32.2
1.315, 30.9
1.134, 11.7
1.121, 24.7

Atomic structure:
Cell lengths 5.2581, 5.2581, 5.2581 Å; angles 60.00, 60.00, 60.00 degrees
Sites, in units of the cell vectors:
In1 0.0000 0.0000 0.0000
Os1 0.1261 0.6246 0.6246
Os2 0.6246 0.1261 0.6246
Os3 0.6246 0.6246 0.1261
Os4 0.6246 0.6246 0.6246
Se1 0.2500 0.2500 0.2500

Record 2
For Ta2InOs, a DFT-relaxed cell (PBE, Alexandria) gives the calculated powder X-ray diffraction pattern in this record (CuKα).
Peak positions follow from Bragg's law for the DFT cell and can differ from measured ones.

Largest 8 diffraction maxima, in order of rising 2θ, 2θ = 15–90°:
d (Å), I (rel.)
2.407, 100.0
2.112, 38.1
2.032, 10.9
2.007, 12.7
1.494, 12.7
1.464, 15.2
1.269, 26.5
1.203, 8.0

Atomic structure:
Cell lengths 2.9870, 2.9870, 8.1271 Å; angles 90.00, 90.00, 90.00 degrees
Sites, in units of the cell vectors:
Ta1 0.0000 0.0000 0.2148
Ta2 0.0000 0.0000 0.7852
In1 0.5000 0.5000 0.5000
Os1 0.5000 0.5000 0.0000

Record 3
For Tb5In2Os2, a DFT-relaxed cell (PBE, Alexandria) gives the calculated powder X-ray diffraction pattern in this record (CuKα).
Peak positions follow from Bragg's law for the DFT cell and can differ from measured ones.

Largest 8 diffraction maxima, in order of rising 2θ, 2θ = 15–90°:
d (Å), I (rel.)
2.894, 76.4
2.805, 78.2
2.779, 84.6
2.672, 50.8
2.611, 100.0
2.382, 53.0
2.372, 62.1
2.072, 59.6

Atomic structure:
Cell lengths 9.0920, 9.0920, 7.6247 Å; angles 90.00, 90.00, 48.67 degrees
Sites, in units of the cell vectors:
Tb1 0.0000 0.0000 0.0000
Tb2 0.0634 0.6993 0.6803
Tb3 0.1993 0.5634 0.1803
Tb4 0.3007 0.9366 0.6803
Tb5 0.4366 0.8007 0.1803
Tb6 0.5000 0.5000 0.5000
Tb7 0.5634 0.1993 0.8197
Tb8 0.6993 0.0634 0.3197
Tb9 0.8007 0.4366 0.8197
Tb10 0.9366 0.3007 0.3197
In1 0.2245 0.2245 0.0000
In2 0.2755 0.2755 0.5000
In3 0.7245 0.7245 0.5000
In4 0.7755 0.7755 0.0000
Os1 0.1134 0.8866 0.3799
Os2 0.3866 0.6134 0.8799
Os3 0.6134 0.3866 0.1201
Os4 0.8866 0.1134 0.6201

Copy entry 2 word for word.
For Ta2InOs, a DFT-relaxed cell (PBE, Alexandria) gives the calculated powder X-ray diffraction pattern in this record (CuKα).
Peak positions follow from Bragg's law for the DFT cell and can differ from measured ones.

Largest 8 diffraction maxima, in order of rising 2θ, 2θ = 15–90°:
d (Å), I (rel.)
2.407, 100.0
2.112, 38.1
2.032, 10.9
2.007, 12.7
1.494, 12.7
1.464, 15.2
1.269, 26.5
1.203, 8.0

Atomic structure:
Cell lengths 2.9870, 2.9870, 8.1271 Å; angles 90.00, 90.00, 90.00 degrees
Sites, in units of the cell vectors:
Ta1 0.0000 0.0000 0.2148
Ta2 0.0000 0.0000 0.7852
In1 0.5000 0.5000 0.5000
Os1 0.5000 0.5000 0.0000

Which formula does entry 2 have? Ta2InOs